(1)
Li3FeSb4O12: theoretical X-ray powder pattern (Cu Kα (weighted mean of Kα1 and Kα2)), based on a PBE+U-relaxed structure.

Top 10 peaks for 10° ≤ 2θ ≤ 90°, in order of rising 2θ:
2theta, I (rel.)
23.19, 100
32.13, 55
33.91, 41
41.48, 15
47.36, 16
52.16, 23
52.30, 11
54.59, 11
59.61, 10
60.67, 16

Cell and atoms:
```
40
Lattice="5.584 0.000 0.000 0.583 7.679 0.000 0.028 0.021 10.569" Properties=species:S:1:pos:R:3 pbc="T T T"
Li 0.000 0.000 0.000
Li 0.597 7.689 5.276
Li 2.740 0.012 2.637
Li 2.750 0.020 7.920
Li 3.034 3.809 2.651
Li 3.045 3.820 7.930
Fe 0.353 3.855 10.561
Fe 0.364 3.836 5.310
Sb 2.811 5.516 5.301
Sb 2.802 5.504 0.008
Sb 2.543 1.612 10.567
Sb 2.535 1.594 5.274
Sb 5.543 5.517 2.647
Sb 5.574 5.539 7.929
Sb 5.283 1.602 7.905
Sb 5.272 1.602 2.624
O 0.924 5.813 0.893
O 0.947 5.869 6.184
O 0.704 2.033 9.620
O 0.697 2.018 4.340
O 1.561 4.851 3.724
O 1.605 4.876 8.981
O 1.311 1.001 1.579
O 1.329 1.018 6.863
O 2.438 3.516 0.675
O 2.465 3.521 5.949
O 2.791 7.381 4.570
O 2.804 7.397 9.860
O 3.729 5.876 1.755
O 3.748 5.879 7.044
O 3.482 2.028 3.548
O 3.502 2.051 8.842
O 4.407 4.856 4.244
O 4.432 4.861 9.531
O 4.145 1.000 6.310
O 4.134 1.004 1.025
O 5.258 3.533 1.960
O 5.285 3.537 7.227
O 5.581 7.385 3.350
O 5.592 7.401 8.648
```

(2)
Li9Mn2Co5O16: theoretical X-ray powder pattern (Cu Kα (weighted mean of Kα1 and Kα2)), based on a PBE+U-relaxed structure.

Top 10 peaks for 10° ≤ 2θ ≤ 90°, in order of rising 2θ:
2theta, I (rel.)
18.37, 100
35.43, 16
36.05, 13
36.63, 12
42.70, 29
43.75, 27
44.45, 26
47.57, 9
62.79, 15
63.74, 14

Cell and atoms:
```
32
Lattice="5.080 0.000 0.000 0.082 5.922 0.000 1.988 0.175 9.500" Properties=species:S:1:pos:R:3 pbc="T T T"
Li 0.000 0.000 0.000
Li 2.031 3.084 9.486
Li 2.801 4.552 7.130
Li 2.768 1.593 7.145
Li 3.539 0.133 4.811
Li 3.597 2.987 4.811
Li 4.337 1.515 2.401
Li 4.396 4.483 2.418
Li 6.083 1.556 4.780
Mn 1.784 0.070 2.424
Mn 6.127 4.537 4.774
Co 1.822 2.990 2.416
Co 4.624 4.582 9.500
Co 4.588 1.623 9.475
Co 5.350 6.032 7.120
Co 5.336 3.013 7.075
O 1.774 5.906 5.944
O 1.802 3.158 5.942
O 1.004 1.379 1.224
O 1.121 4.486 1.327
O 2.614 4.641 3.613
O 2.576 1.514 3.426
O 3.780 3.119 8.354
O 3.847 6.055 8.340
O 3.333 2.967 1.223
O 3.398 5.904 1.232
O 4.482 1.513 6.085
O 4.558 4.477 5.862
O 6.122 4.639 8.289
O 6.153 1.660 8.384
O 5.413 5.909 3.579
O 5.420 3.127 3.597
```

(3)
LiV3O8: theoretical X-ray powder pattern (Cu Kα (weighted mean of Kα1 and Kα2)), based on a PBE+U-relaxed structure.

Top 10 peaks for 10° ≤ 2θ ≤ 90°, in order of rising 2θ:
2theta, I (rel.)
13.06, 56
16.28, 37
23.15, 46
26.30, 65
26.55, 100
28.74, 42
33.89, 32
35.78, 31
43.54, 22
52.22, 28

Cell and atoms:
```
12
Lattice="6.244 -1.752 0.000 6.244 1.752 0.000 -2.439 0.000 6.777" Properties=species:S:1:pos:R:3 pbc="T T T"
Li 0.000 0.000 0.000
V -0.264 0.000 3.589
V 3.424 0.000 0.293
V 3.286 0.000 4.125
O -0.120 0.000 1.973
O -0.520 0.000 6.345
O 1.484 0.000 4.095
O 3.216 0.000 1.970
O 3.418 0.000 5.796
O 5.540 0.000 4.008
O 7.864 0.000 6.740
O 10.101 0.000 3.821
```

(4)
Sr2CoCl2O2: theoretical X-ray powder pattern (Cu Kα (weighted mean of Kα1 and Kα2)), based on a PBE+U-relaxed structure.

Top 10 peaks for 10° ≤ 2θ ≤ 90°, in order of rising 2θ:
2theta, I (rel.)
11.47, 57
30.87, 100
36.34, 71
36.58, 69
38.88, 28
43.80, 28
44.63, 26
58.34, 39
58.85, 32
64.31, 16

Cell and atoms:
```
28
Lattice="6.432 -7.712 0.000 6.432 7.712 0.000 -2.517 0.000 5.219" Properties=species:S:1:pos:R:3 pbc="T T T"
Sr 6.432 6.074 0.000
Sr 1.317 1.645 3.930
Sr 1.317 -1.645 3.930
Sr 5.174 1.645 2.611
Sr 5.174 -1.645 2.611
Sr 9.010 1.643 1.280
Sr 9.010 -1.643 1.280
Sr 6.432 -6.074 0.000
Co 2.578 0.000 1.319
Co 3.900 0.000 5.213
Co 7.771 0.000 3.902
Co 11.599 0.000 2.604
Cl 2.581 2.765 1.310
Cl 5.168 4.974 2.607
Cl 3.908 2.772 5.217
Cl 2.581 -2.765 1.310
Cl 7.760 2.768 3.907
Cl 3.908 -2.772 5.217
Cl 5.168 -4.974 2.607
Cl 7.760 -2.768 3.907
O 0.628 0.000 1.980
O -0.585 0.000 4.623
O 3.236 0.000 3.261
O 4.515 0.000 0.663
O 5.820 0.000 4.552
O 7.098 0.000 1.954
O 10.925 0.000 0.592
O 9.714 0.000 3.235
```